No. 1
Computed powder XRD pattern
Compound: CaPmCuO4
Radiation: λ = 1.5418 Å (Cu Kα)
Structure: a DFT-relaxed cell (PBE, Alexandria)
Intensities are scaled so that the largest is 100.

Cell and atoms:
a b c (Å): 3.800 3.800 12.009
angles (deg): 90.00 90.00 90.00
Space group I4mm (No. 107)
One atom of each set of equivalent atoms:
Ca 0.000 0.000 0.000 x2
Pm 0.000 0.000 0.721 x2
Cu 0.000 0.000 0.363 x2
O 0.000 0.000 0.191 x2
O 0.000 0.000 0.533 x2
O 0.000 0.500 0.356 x4

Principal peaks in the range 10° ≤ 2θ ≤ 80°, in order of rising 2θ:
- 2θ = 14.75°, I = 50
- 2θ = 24.57°, I = 37
- 2θ = 32.49°, I = 100
- 2θ = 33.34°, I = 73
- 2θ = 47.87°, I = 39
- 2θ = 59.05°, I = 42

No. 2
Computed powder XRD pattern
Compound: Ca7CuPt2O12
Radiation: λ = 1.5418 Å (Cu Kα)
Structure: a DFT-relaxed cell (PBE, Alexandria)
Intensities are scaled so that the largest is 100.

Cell and atoms:
a b c (Å): 9.267 9.421 6.561
angles (deg): 90.00 91.17 90.00
Space group C2 (No. 5)
One atom of each set of equivalent atoms:
Ca 0.000 0.000 0.000 x2
Ca 0.000 0.152 0.500 x2
Ca 0.000 0.357 0.000 x2
Ca 0.180 0.673 0.136 x4
Ca 0.185 0.817 0.633 x4
Cu 0.000 0.554 0.500 x2
Pt 0.246 0.488 0.751 x4
O 0.056 0.594 0.793 x4
O 0.064 0.882 0.302 x4
O 0.136 0.304 0.691 x4
O 0.137 0.170 0.185 x4
O 0.212 0.552 0.456 x4
O 0.237 0.932 0.948 x4

Principal peaks in the range 10° ≤ 2θ ≤ 80°, in order of rising 2θ:
- 2θ = 18.90°, I = 100
- 2θ = 19.19°, I = 68
- 2θ = 32.99°, I = 46
- 2θ = 33.16°, I = 38
- 2θ = 43.11°, I = 21
- 2θ = 43.54°, I = 30

No. 3
Computed powder XRD pattern
Compound: Ca2CuRh3O8
Radiation: λ = 1.5418 Å (Cu Kα)
Structure: a DFT-relaxed cell (PBE, Alexandria)
Intensities are scaled so that the largest is 100.

Cell and atoms:
a b c (Å): 6.2731 6.2731 16.2259
angles (deg): 90.00 90.00 120.00
Space group R3m (No. 160, hexagonal axes)
One atom of each set of equivalent atoms:
Ca 0.0000 0.0000 0.0000 x3
Ca 0.0000 0.0000 0.3738 x3
Cu 0.0000 0.0000 0.5780 x3
Rh 0.0005 0.5003 0.5008 x9
O 0.0000 0.0000 0.2322 x3
O 0.0000 0.0000 0.7723 x3
O 0.0319 0.5160 0.7678 x9
O 0.1777 0.3555 0.5678 x9

Principal peaks in the range 10° ≤ 2θ ≤ 80°, in order of rising 2θ:
- 2θ = 16.39°, I = 100
- 2θ = 32.13°, I = 35
- 2θ = 33.01°, I = 35
- 2θ = 33.45°, I = 70
- 2θ = 34.83°, I = 37
- 2θ = 39.94°, I = 58

No. 4
Computed powder XRD pattern
Compound: Ca2CuSbO6
Radiation: λ = 1.5418 Å (Cu Kα)
Structure: a DFT-relaxed cell (PBE, Alexandria)
Intensities are scaled so that the largest is 100.

Cell and atoms:
a b c (Å): 5.807 7.493 6.056
angles (deg): 90.00 105.75 90.00
Space group P2_1/m (No. 11)
One atom of each set of equivalent atoms:
Ca 0.036 0.250 0.083 x2
Ca 0.432 0.750 0.455 x2
Cu 0.000 0.000 0.500 x2
Sb 0.500 0.000 0.000 x2
O 0.069 0.750 0.561 x2
O 0.150 0.037 0.814 x4
O 0.377 0.055 0.264 x4
O 0.406 0.750 0.060 x2

Principal peaks in the range 10° ≤ 2θ ≤ 80°, in order of rising 2θ:
- 2θ = 18.78°, I = 42
- 2θ = 30.45°, I = 100
- 2θ = 30.68°, I = 37
- 2θ = 32.03°, I = 50
- 2θ = 34.67°, I = 53
- 2θ = 38.09°, I = 31